Record 1
For Ni2PO5, a structure optimized by DFT (PBE+U) gives the theoretical XRD peak list in this record (Cu Kα, 1.54184 Å).
Kinematic intensities with the Lorentz-polarization factor, no thermal factor.

Principal peaks in the range 5 to 70 degrees two-theta, in order of rising 2θ:
2θ/deg, intensity
17.11, 55.1
18.30, 30.2
27.55, 100.0
33.05, 89.7
34.61, 32.1
37.09, 25.2
38.16, 21.6
56.87, 27.6
58.01, 21.5
61.02, 31.3

Cell and atoms:
```
32
Lattice="7.182 0.000 0.000 0.000 6.360 0.000 0.000 0.000 7.489" Properties=species:S:1:pos:R:3 pbc="T T T"
Ni 0.000 0.000 0.000
Ni 0.000 3.180 0.000
Ni 1.038 1.590 2.070
Ni 2.553 4.770 5.815
Ni 3.591 0.000 3.745
Ni 3.591 3.180 3.745
Ni 4.629 1.590 1.675
Ni 6.143 4.770 5.420
P 0.855 4.770 2.711
P 2.735 1.590 6.455
P 4.446 4.770 1.034
P 6.326 1.590 4.779
O 0.396 1.590 3.935
O 0.710 4.770 6.450
O 0.946 3.544 1.747
O 0.946 5.996 1.747
O 1.429 1.590 7.332
O 2.162 4.770 3.588
O 2.645 0.364 5.492
O 2.645 2.816 5.492
O 2.881 1.590 2.705
O 3.195 4.770 0.191
O 3.986 1.590 7.299
O 4.300 4.770 4.784
O 4.536 3.544 1.998
O 4.536 5.996 1.998
O 5.020 1.590 3.902
O 5.752 4.770 0.157
O 6.236 0.364 5.742
O 6.236 2.816 5.742
O 6.472 1.590 1.039
O 6.786 4.770 3.554
```

Record 2
For ZnNiP2WO9, a structure optimized by DFT (PBE+U) gives the theoretical XRD peak list in this record (Cu Kα, 1.54184 Å).
Kinematic intensities with the Lorentz-polarization factor, no thermal factor.

Principal peaks in the range 5 to 70 degrees two-theta, in order of rising 2θ:
2θ/deg, intensity
16.80, 90.6
17.92, 57.0
18.38, 100.0
23.95, 86.8
27.58, 52.4
29.69, 37.3
30.59, 65.4
32.47, 36.7
32.99, 44.6
49.12, 24.6

Cell and atoms:
```
56
Lattice="6.468 0.000 0.000 0.000 7.686 0.000 0.000 0.000 14.510" Properties=species:S:1:pos:R:3 pbc="T T T"
Zn 1.603 1.692 4.589
Zn 1.631 5.994 11.844
Zn 4.837 2.151 9.921
Zn 4.865 5.535 2.666
Ni 0.010 5.768 14.506
Ni 3.225 1.918 7.251
Ni 3.244 5.761 0.004
Ni 6.459 1.925 7.259
P 1.598 0.753 1.034
P 1.606 2.867 10.018
P 1.628 4.819 2.763
P 1.636 6.933 8.289
P 4.832 3.090 13.476
P 4.840 0.976 4.492
P 4.863 6.710 11.747
P 4.870 4.596 6.221
W 1.604 2.968 12.807
W 1.630 4.718 5.552
W 4.838 0.875 1.703
W 4.864 6.811 8.958
O 0.291 2.811 9.181
O 0.314 4.859 1.916
O 0.422 6.712 9.211
O 0.436 0.964 1.977
O 1.607 4.156 10.939
O 1.613 0.660 7.645
O 1.608 1.788 14.400
O 1.607 2.860 6.313
O 1.609 5.934 3.843
O 1.625 1.752 11.098
O 1.627 4.826 13.568
O 1.626 5.898 7.145
O 1.621 7.026 0.390
O 1.627 3.530 3.684
O 2.798 6.722 9.232
O 2.812 0.974 1.956
O 2.920 2.827 9.171
O 2.943 4.875 1.926
O 3.525 1.032 5.329
O 3.548 6.670 12.594
O 3.656 4.817 5.299
O 3.670 2.879 12.533
O 4.841 7.373 3.571
O 4.841 0.983 8.197
O 4.842 2.055 0.110
O 4.847 3.183 6.865
O 4.843 5.595 10.667
O 4.859 2.091 3.412
O 4.855 4.503 14.120
O 4.860 5.631 7.365
O 4.861 6.703 0.942
O 4.861 0.313 10.826
O 6.032 4.807 5.278
O 6.046 2.869 12.554
O 6.154 1.016 5.339
O 6.177 6.654 12.584
```

Record 3
For Li2TiFeO4, a structure optimized by DFT (PBE+U) gives the theoretical XRD peak list in this record (Cu Kα, 1.54184 Å).
Kinematic intensities with the Lorentz-polarization factor, no thermal factor.

Principal peaks in the range 5 to 70 degrees two-theta, in order of rising 2θ:
2θ/deg, intensity
17.97, 87.0
18.10, 90.0
34.84, 33.2
34.89, 23.5
35.08, 19.4
42.25, 50.1
42.53, 100.0
46.33, 17.7
61.41, 26.5
61.52, 39.6

Cell and atoms:
```
32
Lattice="5.981 0.000 0.000 2.987 5.240 0.000 2.984 1.740 9.865" Properties=species:S:1:pos:R:3 pbc="T T T"
Li 0.000 0.000 0.000
Li 1.490 2.606 0.021
Li 4.487 6.095 4.953
Li 5.969 5.238 7.414
Li 5.979 3.492 4.934
Li 7.467 6.086 4.961
Li 4.490 2.597 0.028
Li 5.987 1.766 2.491
Ti 4.413 2.588 7.306
Ti 4.552 4.352 2.373
Ti 7.404 2.651 7.498
Ti 7.544 4.417 2.565
Fe 2.988 3.490 4.933
Fe 2.991 1.763 2.481
Fe 2.991 0.001 0.001
Fe 8.966 5.237 7.411
O 2.983 3.629 1.350
O 3.048 1.766 6.280
O 1.492 0.763 1.369
O 4.496 4.231 6.295
O 4.407 2.801 3.626
O 7.540 6.288 8.567
O 5.964 5.133 3.596
O 6.037 3.467 8.524
O 5.918 3.527 1.350
O 5.990 1.865 6.281
O 4.413 0.711 1.300
O 7.552 4.199 6.240
O 7.450 2.776 3.578
O 10.473 6.245 8.506
O 8.909 5.229 3.594
O 8.976 3.369 8.528
```

Record 4
For Li2MnP2O7, a structure optimized by DFT (PBE+U) gives the theoretical XRD peak list in this record (Cu Kα, 1.54184 Å).
Kinematic intensities with the Lorentz-polarization factor, no thermal factor.

Principal peaks in the range 5 to 70 degrees two-theta, in order of rising 2θ:
2θ/deg, intensity
21.88, 100.0
22.75, 43.1
24.18, 11.0
25.56, 19.4
33.72, 11.8
34.16, 34.2
34.99, 15.1
35.45, 14.8
38.54, 10.1
39.46, 15.2

Cell and atoms:
```
48
Lattice="5.130 0.000 0.000 0.000 13.315 0.000 -4.837 0.000 8.181" Properties=species:S:1:pos:R:3 pbc="T T T"
Li -0.948 2.134 1.807
Li -3.366 4.524 5.897
Li -0.924 2.384 5.202
Li 1.494 4.274 1.112
Li -1.201 9.041 7.069
Li 1.218 10.932 2.978
Li 3.660 8.791 2.283
Li 1.241 11.182 6.374
Mn -3.486 1.808 6.959
Mn -1.067 4.850 2.869
Mn 1.360 8.466 5.312
Mn 3.779 11.507 1.221
P 1.090 9.127 0.569
P -1.328 10.846 4.660
P 1.036 0.277 1.734
P -1.383 6.381 5.825
P 1.676 6.935 2.356
P -0.742 13.038 6.446
P 1.622 2.469 3.521
P -0.797 4.188 7.611
O -2.899 2.577 4.926
O -0.481 4.081 0.835
O -2.705 6.935 6.357
O -0.287 13.038 2.266
O 0.250 9.954 1.574
O -2.169 10.019 5.664
O 0.757 1.456 0.781
O -1.662 5.202 4.871
O 0.896 7.593 1.058
O -1.522 12.381 5.148
O 0.111 2.792 3.494
O -2.308 3.866 7.584
O -1.656 0.813 6.964
O 0.762 5.845 2.873
O -0.469 7.470 5.307
O 1.950 12.503 1.217
O 2.601 9.450 0.597
O 0.182 10.523 4.687
O 1.815 0.935 3.032
O -0.603 5.723 7.123
O 1.955 8.114 3.309
O -0.464 11.860 7.400
O 2.462 3.296 2.516
O 0.044 3.362 6.607
O 0.580 0.278 5.914
O 2.998 6.380 1.824
O 0.774 9.234 7.345
O 3.192 10.739 3.255
```

Record 5
For La2MoO6, a structure optimized by DFT (PBE+U) gives the theoretical XRD peak list in this record (Cu Kα, 1.54184 Å).
Kinematic intensities with the Lorentz-polarization factor, no thermal factor.

Principal peaks in the range 5 to 70 degrees two-theta, in order of rising 2θ:
2θ/deg, intensity
26.36, 100.0
29.26, 32.7
32.95, 6.3
41.85, 12.6
44.64, 24.2
50.14, 33.0
54.27, 12.4
54.95, 8.0
60.67, 7.1
67.31, 6.6

Cell and atoms:
```
9
Lattice="-2.159 2.159 8.154 2.159 -2.159 8.154 2.159 2.159 -8.154" Properties=species:S:1:pos:R:3 pbc="T T T"
La 0.000 0.000 2.943
La 0.000 0.000 13.366
Mo 0.000 0.000 8.154
O 1.153 1.153 -1.097
O 2.159 0.000 4.077
O 1.005 -1.005 9.251
O 1.005 1.005 7.058
O 0.000 2.159 4.077
O -1.005 1.005 9.251
```

Which formula does entry 4 have? Li2MnP2O7